Starting from a GGA+U-relaxed structure, the X-ray diffraction stick pattern of LiFeOF2 was simulated for Cu Kα, 1.54184 Å.
No peak broadening, texture or thermal motion is included.

The 8 most intense peaks (2θ from 5° to 70°), sorted by position:
Position (°2θ)  I/Imax
13.4  44.9
18.2  100.0
26.2  20.4
34.2  16.9
35.1  16.2
41.5  29.8
42.9  27.3
43.1  27.1

Crystal structure
```
LiFeOF2
1.0
5.2970 0.0000 0.0000
0.0159 8.9553 0.0000
1.4594 0.0457 9.7565
Li Fe O F
8 8 8 16
Direct
0.0000 0.0000 0.0000 Li
0.0137 0.4890 0.5160 Li
0.1218 0.9984 0.6268 Li
0.1400 0.4986 0.1398 Li
0.4985 0.1833 0.0118 Li
0.5137 0.6733 0.5185 Li
0.6253 0.1871 0.6242 Li
0.6470 0.6754 0.1381 Li
0.0812 0.6832 0.8024 Fe
0.0821 0.1876 0.3332 Fe
0.0819 0.8233 0.3292 Fe
0.0828 0.3228 0.8078 Fe
0.5562 0.3479 0.3306 Fe
0.5587 0.0187 0.3244 Fe
0.5802 0.4961 0.8045 Fe
0.5845 0.8592 0.8054 Fe
0.2022 0.9954 0.4215 O
0.2226 0.3356 0.4316 O
0.4227 0.3429 0.7210 O
0.4321 0.1739 0.2136 O
0.4441 0.6794 0.7247 O
0.7161 0.1737 0.4210 O
0.9208 0.8365 0.7203 O
0.9428 0.5032 0.7220 O
0.1654 0.1829 0.9498 F
0.1860 0.6760 0.4520 F
0.2145 0.5069 0.9394 F
0.2199 0.8365 0.9310 F
0.4324 0.8381 0.2149 F
0.4516 0.0033 0.6871 F
0.4660 0.5024 0.1995 F
0.6641 0.9981 0.9482 F
0.6929 0.5021 0.4469 F
0.7184 0.8396 0.4212 F
0.7187 0.6701 0.9403 F
0.7208 0.3462 0.9323 F
0.9261 0.3381 0.2107 F
0.9319 0.9918 0.2061 F
0.9452 0.1732 0.6972 F
0.9741 0.6824 0.1994 F
```